Theoretical XRD peak list of Nd4CBr2 for Cu Kα (λ = 1.5418 Å), from a cell relaxed with PBE.

Cell and atoms:
abc: 5.2856 5.2856 14.3488
angles: 90.00 90.00 90.00
Space group I4/mmm (No. 139)
Unique sites:
Nd: 0.0000 0.0000 0.1746 [4 per cell]
Nd: 0.0000 0.5000 0.0000 [4 per cell]
C: 0.0000 0.0000 0.0000 [2 per cell]
Br: 0.0000 0.0000 0.3874 [4 per cell]

Main lines, most intense first (2θ from 15° to 90°):
2θ/deg  d_spacing  I/Imax  (hkl)
26.90  3.315  100  1 1 2
33.92  2.643  88  2 0 0
34.66  2.588  81  1 1 4
35.60  2.522  36  1 0 5
48.73  1.869  31  2 2 0
61.17  1.515  31  3 1 4
49.99  1.825  27  2 1 5
56.53  1.628  26  3 1 2
51.54  1.773  24  2 0 6
25.11  3.546  23  1 0 3